# 1
Calculated X-ray powder pattern of DyHoMg2Au4 for Cu Ka, from DFT lattice parameters and positions (GGA-PBE).

Crystal structure
```
DyHoMg2Au4
1.0
4.9079 0.0000 0.0000
0.0000 6.7828 0.0000
0.0000 0.0000 4.9152
Dy Ho Mg Au
1 1 2 4
direct
0.0000 0.0000 0.0000
0.5000 0.5000 0.5061
0.0000 0.5000 0.9989
0.5000 0.0000 0.5058
0.0000 0.2518 0.4990
0.0000 0.7482 0.4990
0.5000 0.2530 0.0072
0.5000 0.7470 0.0072
```

Peak list (10 most intense, 2θ = 15–90°, sorted by position)
2θ (°)  d/Å  Rel. int.
22.3  3.978  19
25.7  3.473  16
36.6  2.456  52
37.1  2.426  100
52.7  1.736  18
66.2  1.412  37
67.1  1.395  18
78.9  1.213  11
89.2  1.098  9
89.4  1.096  9

=====

# 2
Calculated X-ray powder pattern of Dy2Fe17C3 for Cu Ka, from DFT lattice parameters and positions (GGA-PBE).

Crystal structure
```
Dy2Fe17C3
1.0
4.3023 2.4839 4.1592
-4.3023 2.4839 4.1592
0.0000 -4.9679 4.1592
Dy Fe C
2 17 3
direct
0.1571 0.1571 0.1571
0.8429 0.8429 0.8429
0.0000 0.5000 0.5000
0.1567 0.1567 0.6450
0.1567 0.6450 0.1567
0.2164 0.5000 0.7836
0.2164 0.7836 0.5000
0.3550 0.8433 0.8433
0.4046 0.4046 0.4046
0.5000 0.0000 0.5000
0.5000 0.2164 0.7836
0.5000 0.5000 0.0000
0.5000 0.7836 0.2164
0.5954 0.5954 0.5954
0.6450 0.1567 0.1567
0.7836 0.2164 0.5000
0.7836 0.5000 0.2164
0.8433 0.3550 0.8433
0.8433 0.8433 0.3550
0.0000 0.0000 0.5000
0.0000 0.5000 0.0000
0.5000 0.0000 0.0000
```

Peak list (10 most intense, 2θ = 15–90°, sorted by position)
2θ (°)  d/Å  Rel. int.
29.9  2.990  44
36.2  2.484  40
37.6  2.392  31
42.0  2.151  75
42.4  2.133  100
43.3  2.090  21
43.5  2.080  34
61.2  1.514  21
62.1  1.495  20
76.7  1.242  17

=====

# 3
Calculated X-ray powder pattern of NbGaAs for Cu Ka, from DFT lattice parameters and positions (GGA-PBE).

Crystal structure
```
NbGaAs
1.0
6.8199 0.0000 0.0000
0.0000 3.4000 0.0000
0.0000 0.0000 8.6064
Nb Ga As
4 4 4
direct
0.1262 0.2500 0.2392
0.3738 0.7500 0.7392
0.6262 0.2500 0.2608
0.8738 0.7500 0.7608
0.1173 0.2500 0.5775
0.3827 0.7500 0.0775
0.6173 0.2500 0.9225
0.8827 0.7500 0.4225
0.1387 0.2500 0.9040
0.3613 0.7500 0.4040
0.6387 0.2500 0.5960
0.8613 0.7500 0.0960
```

Peak list (10 most intense, 2θ = 15–90°, sorted by position)
2θ (°)  d/Å  Rel. int.
37.3  2.408  100
41.1  2.195  74
41.2  2.193  74
53.8  1.705  16
53.9  1.700  17
65.0  1.434  8
69.9  1.346  28
70.0  1.344  29
77.5  1.232  19
79.6  1.204  10

=====

# 4
Calculated X-ray powder pattern of Gd2Mg2AgAu3 for Cu Ka, from DFT lattice parameters and positions (GGA-PBE).

Crystal structure
```
Gd2Mg2AgAu3
1.0
4.9971 0.0000 0.0000
0.0000 4.9703 0.0000
-0.0050 0.0000 6.8653
Gd Mg Ag Au
2 2 1 3
direct
0.0000 0.0000 0.0000
0.4729 0.5000 0.4930
0.4870 0.5000 0.9973
0.9870 0.0000 0.4958
0.5012 0.0000 0.7477
0.5006 0.0000 0.2451
0.9728 0.5000 0.2478
0.9729 0.5000 0.7453
```

Peak list (10 most intense, 2θ = 15–90°, sorted by position)
2θ (°)  d/Å  Rel. int.
22.0  4.033  23
25.3  3.524  13
35.9  2.499  26
36.1  2.485  26
36.5  2.459  100
51.9  1.762  18
65.0  1.435  18
65.3  1.430  18
66.2  1.412  9
77.7  1.229  11

=====

# 5
Calculated X-ray powder pattern of K3NaSb2Au2 for Cu Ka, from DFT lattice parameters and positions (GGA-PBE).

Crystal structure
```
K3NaSb2Au2
1.0
6.3159 0.0000 0.0000
0.0000 6.4340 0.0000
-1.7678 0.0000 6.4068
K Na Sb Au
3 1 2 2
direct
0.0000 0.0000 0.0000
0.0407 0.5000 0.3216
0.6799 0.5000 0.6542
0.3584 0.0000 0.6644
0.2478 0.5000 0.8747
0.7739 0.0000 0.4422
0.5211 0.2475 0.1457
0.5211 0.7525 0.1457
```

Peak list (10 most intense, 2θ = 15–90°, sorted by position)
2θ (°)  d/Å  Rel. int.
17.2  5.150  100
28.9  3.086  24
31.1  2.873  62
31.5  2.844  34
34.8  2.575  20
34.9  2.567  21
36.1  2.488  53
39.7  2.271  44
40.8  2.211  29
51.9  1.760  20

=====

# 6
Calculated X-ray powder pattern of TbTe2O4 for Cu Ka, from DFT lattice parameters and positions (GGA-PBE).

Crystal structure
```
TbTe2O4
1.0
-3.4801 3.4801 4.9382
3.4801 -3.4801 4.9382
3.4801 3.4801 -4.9382
Tb Te O
2 4 8
direct
0.3750 0.6250 0.7500
0.6250 0.3750 0.2500
0.0000 0.0000 0.0000
0.0000 0.0000 0.5000
0.0000 0.5000 0.0000
0.5000 0.0000 0.5000
0.2387 0.2465 0.9923
0.2465 0.2387 0.4923
0.2465 0.7542 0.0077
0.2458 0.7535 0.4923
0.7542 0.2465 0.5077
0.7535 0.2458 0.9923
0.7535 0.7613 0.5077
0.7613 0.7535 0.0077
```

Peak list (10 most intense, 2θ = 15–90°, sorted by position)
2θ (°)  d/Å  Rel. int.
25.6  3.484  34
30.1  2.971  100
31.4  2.845  17
45.1  2.011  15
47.9  1.900  10
48.0  1.895  28
52.5  1.742  40
61.7  1.503  13
62.6  1.484  6
73.9  1.283  13